For Y2SnAu2, DFT lattice parameters and positions (PBE) gives the theoretical X-ray diffraction stick pattern in this record (a wavelength of 1.5418 Å).
No peak broadening, texture or thermal motion is included.

Main lines, in order of falling intensity (2θ = 10–90°):
2θ/deg	I_rel
34.73	100
35.64	49
23.73	20
43.27	18
61.67	16
24.99	16

Structure:
a b c (Å): 7.9667 7.9667 7.4997
angles (deg): 90.00 90.00 90.00
Sites, in units of the cell vectors:
Y1 0.1582 0.1582 0.0000
Y2 0.1821 0.1821 0.5000
Y3 0.3179 0.6821 0.0000
Y4 0.3418 0.6582 0.5000
Y5 0.6582 0.3418 0.5000
Y6 0.6821 0.3179 0.0000
Y7 0.8179 0.8179 0.5000
Y8 0.8418 0.8418 0.0000
Sn1 0.0000 0.5000 0.2500
Sn2 0.0000 0.5000 0.7500
Sn3 0.5000 0.0000 0.2500
Sn4 0.5000 0.0000 0.7500
Au1 0.1274 0.8726 0.2756
Au2 0.1274 0.8726 0.7244
Au3 0.3726 0.3726 0.2244
Au4 0.3726 0.3726 0.7756
Au5 0.6274 0.6274 0.2244
Au6 0.6274 0.6274 0.7756
Au7 0.8726 0.1274 0.2756
Au8 0.8726 0.1274 0.7244

***

For Zn2GaCo2, DFT lattice parameters and positions (PBE) gives the theoretical X-ray diffraction stick pattern in this record (a wavelength of 1.5418 Å).
No peak broadening, texture or thermal motion is included.

Main lines, in order of falling intensity (2θ = 10–90°):
2θ/deg	I_rel
41.44	100
48.28	37
48.13	23
70.55	22
38.46	21
85.15	11

Structure:
a b c (Å): 5.9616 5.9616 3.7811
angles (deg): 90.00 90.00 90.00
Sites, in units of the cell vectors:
Zn1 0.1604 0.3396 0.0000
Zn2 0.3396 0.8396 0.0000
Zn3 0.6604 0.1604 0.0000
Zn4 0.8396 0.6604 0.0000
Ga1 0.0000 0.0000 0.5000
Ga2 0.5000 0.5000 0.5000
Co1 0.1364 0.6364 0.5000
Co2 0.3636 0.1364 0.5000
Co3 0.6364 0.8636 0.5000
Co4 0.8636 0.3636 0.5000

***

For NdAl2ZnCu, DFT lattice parameters and positions (PBE) gives the theoretical X-ray diffraction stick pattern in this record (a wavelength of 1.5418 Å).
No peak broadening, texture or thermal motion is included.

Main lines, in order of falling intensity (2θ = 10–90°):
2θ/deg	I_rel
34.29	100
33.22	76
22.52	26
42.15	25
42.38	25
29.54	24

Structure:
a b c (Å): 6.0251 6.0251 6.0251
angles (deg): 138.54 138.32 60.25
Sites, in units of the cell vectors:
Nd1 0.0000 0.0000 0.0000
Al1 0.3970 0.3970 0.0000
Al2 0.7446 0.2446 0.5000
Zn1 0.2505 0.7505 0.5000
Cu1 0.6270 0.6270 0.0000